Calculated X-ray diffraction stick pattern
Compound: NaBiWO6
Radiation: Cu Kα X-rays
Structure: a DFT-relaxed cell (GGA+U, Alexandria)

Principal peaks in the range 5 to 70 degrees two-theta, most intense first:
index  Position (°2θ)  I_rel
1 0 1  27.23  100
1 1 0  33.42  34
1 0 0  19.11  33
2 -1 2  52.29  30
2 0 1  43.63  29
3 -1 1  56.04  28

Crystal structure
```
NaBiWO6
1.0
5.3631 0.0000 0.0000
-2.6815 4.6446 0.0000
0.0000 0.0000 4.6178
Na Bi W O
1 1 1 6
Cartesian
0.0000 0.0000 0.0000
2.6816 1.5482 2.3089
0.0000 3.0964 0.0000
-0.8767 1.7531 1.1175
-1.6017 3.0088 3.5003
0.8767 1.7531 3.5003
-0.7250 4.5273 1.1175
1.6017 3.0088 1.1175
0.7250 4.5273 3.5003
```